# TcRuI2O
Calculated PXRD pattern, Cu Kα, 1.54184 Å. Input: the GGA-PBE geometry in Alexandria.

Largest 8 diffraction maxima, sorted by position, 10 to 90 degrees two-theta:
two_theta	I/Imax
24.0	25.6
29.0	42.0
32.3	100.0
33.3	60.4
40.7	25.5
43.9	26.9
46.3	35.7
60.0	32.3

Structure:
```
data_TcRuI2O
_chemical_formula_sum 'Tc1 Ru1 I2 O1'
_cell_length_a 5.5414
_cell_length_b 5.5414
_cell_length_c 3.7075
_cell_angle_alpha 90.00
_cell_angle_beta 90.00
_cell_angle_gamma 90.00
_symmetry_space_group_name_H-M 'P 1'
_symmetry_Int_Tables_number 1
loop_
_symmetry_equiv_pos_as_xyz
'x,y,z'
loop_
_atom_site_label
_atom_site_type_symbol
_atom_site_fract_x
_atom_site_fract_y
_atom_site_fract_z
Tc1 Tc 0.0000 0.0000 0.0000
Ru1 Ru 0.5000 0.5000 0.5000
I1 I 0.0000 0.5000 0.0000
I2 I 0.5000 0.0000 0.0000
O1 O 0.0000 0.0000 0.5000
```


# Pd3SeO6
Calculated PXRD pattern, Cu Kα, 1.54184 Å. Input: the GGA-PBE geometry in Alexandria.

Largest 8 diffraction maxima, sorted by position, 10 to 90 degrees two-theta:
two_theta	I/Imax
22.5	34.5
29.9	100.0
34.2	89.5
34.4	16.4
46.0	30.5
48.9	57.7
58.6	28.8
61.2	29.4

Structure:
```
data_Pd3SeO6
_chemical_formula_sum 'Pd3 Se1 O6'
_cell_length_a 6.1012
_cell_length_b 6.1012
_cell_length_c 6.1012
_cell_angle_alpha 50.92
_cell_angle_beta 50.92
_cell_angle_gamma 50.92
_symmetry_space_group_name_H-M 'P 1'
_symmetry_Int_Tables_number 1
loop_
_symmetry_equiv_pos_as_xyz
'x,y,z'
loop_
_atom_site_label
_atom_site_type_symbol
_atom_site_fract_x
_atom_site_fract_y
_atom_site_fract_z
Pd1 Pd 0.0000 0.0000 0.0000
Pd2 Pd 0.2007 0.2007 0.2007
Pd3 Pd 0.5224 0.5224 0.5224
Se1 Se 0.7260 0.7260 0.7260
O1 O 0.0721 0.4481 0.7926
O2 O 0.2732 0.9217 0.5924
O3 O 0.4481 0.7926 0.0721
O4 O 0.5924 0.2732 0.9217
O5 O 0.7926 0.0721 0.4481
O6 O 0.9217 0.5924 0.2732
```


# AgMo6Se4S4
Calculated PXRD pattern, Cu Kα, 1.54184 Å. Input: the GGA-PBE geometry in Alexandria.

Largest 8 diffraction maxima, sorted by position, 10 to 90 degrees two-theta:
two_theta	I/Imax
13.3	100.0
18.3	25.8
18.5	27.3
32.6	41.8
33.0	28.5
42.4	35.6
44.8	44.6
45.4	32.0

Structure:
```
data_AgMo6Se4S4
_chemical_formula_sum 'Ag1 Mo6 Se4 S4'
_cell_length_a 6.6527
_cell_length_b 6.6788
_cell_length_c 6.6910
_cell_angle_alpha 91.89
_cell_angle_beta 93.30
_cell_angle_gamma 91.90
_symmetry_space_group_name_H-M 'P 1'
_symmetry_Int_Tables_number 1
loop_
_symmetry_equiv_pos_as_xyz
'x,y,z'
loop_
_atom_site_label
_atom_site_type_symbol
_atom_site_fract_x
_atom_site_fract_y
_atom_site_fract_z
Ag1 Ag 0.0000 0.0000 0.0000
Mo1 Mo 0.2626 0.4298 0.4917
Mo2 Mo 0.4585 0.1010 0.6370
Mo3 Mo 0.4955 0.4690 0.8594
Mo4 Mo 0.5952 0.2866 0.3111
Mo5 Mo 0.6372 0.6437 0.5418
Mo6 Mo 0.8298 0.3175 0.6853
Se1 Se 0.2588 0.0936 0.2980
Se2 Se 0.4207 0.6216 0.2119
Se3 Se 0.7909 0.9970 0.4675
Se4 Se 0.8404 0.6497 0.8840
S1 S 0.1886 0.2682 0.8032
S2 S 0.3242 0.7444 0.6927
S3 S 0.6477 0.1532 0.9578
S4 S 0.9075 0.4805 0.3724
```


# Dy3ThHg6
Calculated PXRD pattern, Cu Kα, 1.54184 Å. Input: the GGA-PBE geometry in Alexandria.

Largest 8 diffraction maxima, sorted by position, 10 to 90 degrees two-theta:
two_theta	I/Imax
33.5	49.2
33.8	99.4
34.4	100.0
34.6	51.8
49.0	34.5
49.1	16.3
61.5	43.0
61.9	20.7

Structure:
```
data_Dy3ThHg6
_chemical_formula_sum 'Dy6 Th2 Hg12'
_cell_length_a 9.2568
_cell_length_b 5.1820
_cell_length_c 11.2301
_cell_angle_alpha 90.00
_cell_angle_beta 107.39
_cell_angle_gamma 90.00
_symmetry_space_group_name_H-M 'P 1'
_symmetry_Int_Tables_number 1
loop_
_symmetry_equiv_pos_as_xyz
'x,y,z'
loop_
_atom_site_label
_atom_site_type_symbol
_atom_site_fract_x
_atom_site_fract_y
_atom_site_fract_z
Dy1 Dy 0.0121 0.2500 0.3878
Dy2 Dy 0.1500 0.7500 0.1958
Dy3 Dy 0.2678 0.2500 0.9952
Dy4 Dy 0.7322 0.7500 0.0048
Dy5 Dy 0.8500 0.2500 0.8042
Dy6 Dy 0.9879 0.7500 0.6122
Th1 Th 0.4314 0.2500 0.6160
Th2 Th 0.5686 0.7500 0.3840
Hg1 Hg 0.0330 0.7500 0.9059
Hg2 Hg 0.1390 0.2500 0.7090
Hg3 Hg 0.2464 0.7500 0.4811
Hg4 Hg 0.3317 0.2500 0.3081
Hg5 Hg 0.3552 0.7500 0.7951
Hg6 Hg 0.4374 0.7500 0.0894
Hg7 Hg 0.5626 0.2500 0.9106
Hg8 Hg 0.6448 0.2500 0.2049
Hg9 Hg 0.6683 0.7500 0.6919
Hg10 Hg 0.7536 0.2500 0.5189
Hg11 Hg 0.8610 0.7500 0.2910
Hg12 Hg 0.9670 0.2500 0.0941
```


# Er8AlPt2
Calculated PXRD pattern, Cu Kα, 1.54184 Å. Input: the GGA-PBE geometry in Alexandria.

Largest 8 diffraction maxima, sorted by position, 10 to 90 degrees two-theta:
two_theta	I/Imax
17.2	50.9
25.2	52.9
30.4	62.4
32.0	94.0
32.9	88.1
34.5	75.5
38.2	100.0
38.3	54.0

Structure:
```
data_Er8AlPt2
_chemical_formula_sum 'Er8 Al1 Pt2'
_cell_length_a 7.9294
_cell_length_b 7.9294
_cell_length_c 5.3684
_cell_angle_alpha 98.46
_cell_angle_beta 98.46
_cell_angle_gamma 113.90
_symmetry_space_group_name_H-M 'P 1'
_symmetry_Int_Tables_number 1
loop_
_symmetry_equiv_pos_as_xyz
'x,y,z'
loop_
_atom_site_label
_atom_site_type_symbol
_atom_site_fract_x
_atom_site_fract_y
_atom_site_fract_z
Er1 Er 0.0000 0.0000 0.0000
Er2 Er 0.0570 0.3064 0.6126
Er3 Er 0.1440 0.6238 0.1917
Er4 Er 0.3064 0.0570 0.6126
Er5 Er 0.4618 0.7112 0.7703
Er6 Er 0.6238 0.1440 0.1917
Er7 Er 0.7112 0.4618 0.7703
Er8 Er 0.7687 0.7687 0.3835
Al1 Al 0.3842 0.3842 0.1925
Pt1 Pt 0.0772 0.6911 0.6918
Pt2 Pt 0.6911 0.0772 0.6918
```


# Li3CuF6
Calculated PXRD pattern, Cu Kα, 1.54184 Å. Input: the GGA-PBE geometry in Alexandria.

Largest 8 diffraction maxima, sorted by position, 10 to 90 degrees two-theta:
two_theta	I/Imax
20.5	38.7
20.9	69.6
21.1	100.0
22.3	37.4
29.2	30.8
30.5	29.8
41.3	30.1
49.0	21.4

Structure:
```
data_Li3CuF6
_chemical_formula_sum 'Li18 Cu6 F36'
_cell_length_a 8.4541
_cell_length_b 8.4541
_cell_length_c 10.1034
_cell_angle_alpha 93.93
_cell_angle_beta 93.93
_cell_angle_gamma 61.62
_symmetry_space_group_name_H-M 'P 1'
_symmetry_Int_Tables_number 1
loop_
_symmetry_equiv_pos_as_xyz
'x,y,z'
loop_
_atom_site_label
_atom_site_type_symbol
_atom_site_fract_x
_atom_site_fract_y
_atom_site_fract_z
Li1 Li 0.0057 0.7038 0.2329
Li2 Li 0.0595 0.3437 0.4317
Li3 Li 0.1347 0.5303 0.9486
Li4 Li 0.1844 0.8156 0.7500
Li5 Li 0.2962 0.9943 0.2671
Li6 Li 0.3248 0.6334 0.4607
Li7 Li 0.3437 0.0595 0.9317
Li8 Li 0.3666 0.6752 0.0393
Li9 Li 0.4697 0.8653 0.5514
Li10 Li 0.5303 0.1347 0.4486
Li11 Li 0.6334 0.3248 0.9607
Li12 Li 0.6563 0.9405 0.0683
Li13 Li 0.6752 0.3666 0.5393
Li14 Li 0.7038 0.0057 0.7329
Li15 Li 0.8156 0.1844 0.2500
Li16 Li 0.8653 0.4697 0.0514
Li17 Li 0.9405 0.6563 0.5683
Li18 Li 0.9943 0.2962 0.7671
Cu1 Cu 0.0000 0.0000 0.0000
Cu2 Cu 0.0000 0.0000 0.5000
Cu3 Cu 0.3339 0.3397 0.7036
Cu4 Cu 0.3397 0.3339 0.2036
Cu5 Cu 0.6603 0.6661 0.7964
Cu6 Cu 0.6661 0.6603 0.2964
F1 F 0.0665 0.0786 0.1655
F2 F 0.0786 0.0665 0.6655
F3 F 0.0870 0.7602 0.0631
F4 F 0.0941 0.7617 0.5661
F5 F 0.1026 0.4138 0.6095
F6 F 0.1052 0.4330 0.1135
F7 F 0.2278 0.2723 0.8408
F8 F 0.2383 0.9059 0.9339
F9 F 0.2398 0.9130 0.4369
F10 F 0.2446 0.5585 0.3031
F11 F 0.2450 0.5680 0.8003
F12 F 0.2723 0.2278 0.3408
F13 F 0.4076 0.4273 0.0603
F14 F 0.4138 0.1026 0.1095
F15 F 0.4273 0.4076 0.5603
F16 F 0.4320 0.7550 0.6997
F17 F 0.4330 0.1052 0.6135
F18 F 0.4415 0.7554 0.1969
F19 F 0.5585 0.2446 0.8031
F20 F 0.5670 0.8948 0.3865
F21 F 0.5680 0.2450 0.3003
F22 F 0.5727 0.5924 0.4397
F23 F 0.5862 0.8974 0.8905
F24 F 0.5924 0.5727 0.9397
F25 F 0.7277 0.7722 0.6592
F26 F 0.7550 0.4320 0.1997
F27 F 0.7554 0.4415 0.6969
F28 F 0.7602 0.0870 0.5631
F29 F 0.7617 0.0941 0.0661
F30 F 0.7722 0.7277 0.1592
F31 F 0.8948 0.5670 0.8865
F32 F 0.8974 0.5862 0.3905
F33 F 0.9059 0.2383 0.4339
F34 F 0.9130 0.2398 0.9369
F35 F 0.9214 0.9335 0.3345
F36 F 0.9335 0.9214 0.8345
```


# Tb2NbMoN5
Calculated PXRD pattern, Cu Kα, 1.54184 Å. Input: the GGA-PBE geometry in Alexandria.

Largest 8 diffraction maxima, sorted by position, 10 to 90 degrees two-theta:
two_theta	I/Imax
29.3	92.4
32.1	100.0
32.9	98.6
33.8	80.8
35.0	63.2
38.4	89.2
41.7	33.2
56.7	42.3

Structure:
```
data_Tb2NbMoN5
_chemical_formula_sum 'Tb4 Nb2 Mo2 N10'
_cell_length_a 6.8462
_cell_length_b 6.8462
_cell_length_c 10.2702
_cell_angle_alpha 90.00
_cell_angle_beta 90.00
_cell_angle_gamma 152.03
_symmetry_space_group_name_H-M 'P 1'
_symmetry_Int_Tables_number 1
loop_
_symmetry_equiv_pos_as_xyz
'x,y,z'
loop_
_atom_site_label
_atom_site_type_symbol
_atom_site_fract_x
_atom_site_fract_y
_atom_site_fract_z
Tb1 Tb 0.1094 0.8906 0.5000
Tb2 Tb 0.1447 0.8553 0.1017
Tb3 Tb 0.8553 0.1447 0.6017
Tb4 Tb 0.8906 0.1094 0.0000
Nb1 Nb 0.2204 0.7796 0.8199
Nb2 Nb 0.7796 0.2204 0.3199
Mo1 Mo 0.4720 0.5280 0.2701
Mo2 Mo 0.5280 0.4720 0.7701
N1 N 0.0478 0.9522 0.8637
N2 N 0.2813 0.7187 0.4585
N3 N 0.3178 0.6822 0.1839
N4 N 0.3696 0.6304 0.8090
N5 N 0.4897 0.5103 0.5911
N6 N 0.5103 0.4897 0.0911
N7 N 0.6304 0.3696 0.3090
N8 N 0.6822 0.3178 0.6839
N9 N 0.7187 0.2813 0.9585
N10 N 0.9522 0.0478 0.3637
```


# GeNF
Calculated PXRD pattern, Cu Kα, 1.54184 Å. Input: the GGA-PBE geometry in Alexandria.

Largest 8 diffraction maxima, sorted by position, 10 to 90 degrees two-theta:
two_theta	I/Imax
16.8	100.0
25.3	21.8
34.0	83.6
35.4	42.3
40.6	14.3
42.7	13.5
59.8	20.5
60.5	13.7

Structure:
```
data_GeNF
_chemical_formula_sum 'Ge2 N2 F2'
_cell_length_a 3.0914
_cell_length_b 3.0917
_cell_length_c 10.7201
_cell_angle_alpha 89.93
_cell_angle_beta 81.84
_cell_angle_gamma 60.00
_symmetry_space_group_name_H-M 'P 1'
_symmetry_Int_Tables_number 1
loop_
_symmetry_equiv_pos_as_xyz
'x,y,z'
loop_
_atom_site_label
_atom_site_type_symbol
_atom_site_fract_x
_atom_site_fract_y
_atom_site_fract_z
Ge1 Ge 0.0357 0.2303 0.2058
Ge2 Ge 0.9643 0.7697 0.7942
N1 N 0.2632 0.1200 0.8468
N2 N 0.7368 0.8800 0.1532
F1 F 0.0716 0.7165 0.6301
F2 F 0.9284 0.2835 0.3699
```


# Rb3HfF8
Calculated PXRD pattern, Cu Kα, 1.54184 Å. Input: the GGA-PBE geometry in Alexandria.

Largest 8 diffraction maxima, sorted by position, 10 to 90 degrees two-theta:
two_theta	I/Imax
15.9	23.7
26.1	100.0
37.2	28.7
46.0	52.6
53.6	16.6
60.6	22.5
73.3	26.3
85.2	12.6

Structure:
```
data_Rb3HfF8
_chemical_formula_sum 'Rb3 Hf1 F8'
_cell_length_a 6.8336
_cell_length_b 6.8336
_cell_length_c 6.8336
_cell_angle_alpha 120.00
_cell_angle_beta 120.00
_cell_angle_gamma 89.99
_symmetry_space_group_name_H-M 'P 1'
_symmetry_Int_Tables_number 1
loop_
_symmetry_equiv_pos_as_xyz
'x,y,z'
loop_
_atom_site_label
_atom_site_type_symbol
_atom_site_fract_x
_atom_site_fract_y
_atom_site_fract_z
Rb1 Rb 0.0000 0.0000 0.0000
Rb2 Rb 0.2500 0.7500 0.5000
Rb3 Rb 0.7500 0.2500 0.5000
Hf1 Hf 0.5000 0.5000 0.0000
F1 F 0.1934 0.4360 0.0000
F2 F 0.2396 0.2396 0.5817
F3 F 0.3421 0.7604 0.0000
F4 F 0.4360 0.1934 0.0000
F5 F 0.5640 0.5640 0.7574
F6 F 0.6579 0.6579 0.4183
F7 F 0.7604 0.3421 0.0000
F8 F 0.8066 0.8066 0.2426
```


# K2BeCo2
Calculated PXRD pattern, Cu Kα, 1.54184 Å. Input: the GGA-PBE geometry in Alexandria.

Largest 8 diffraction maxima, sorted by position, 10 to 90 degrees two-theta:
two_theta	I/Imax
24.0	60.8
27.5	25.7
32.2	60.1
34.0	27.9
39.7	59.5
42.2	100.0
57.4	27.0
66.2	24.9

Structure:
```
data_K2BeCo2
_chemical_formula_sum 'K2 Be1 Co2'
_cell_length_a 11.3489
_cell_length_b 11.3489
_cell_length_c 11.3489
_cell_angle_alpha 163.39
_cell_angle_beta 163.39
_cell_angle_gamma 23.58
_symmetry_space_group_name_H-M 'P 1'
_symmetry_Int_Tables_number 1
loop_
_symmetry_equiv_pos_as_xyz
'x,y,z'
loop_
_atom_site_label
_atom_site_type_symbol
_atom_site_fract_x
_atom_site_fract_y
_atom_site_fract_z
K1 K 0.1173 0.1173 0.0000
K2 K 0.8827 0.8827 0.0000
Be1 Be 0.5000 0.5000 0.0000
Co1 Co 0.2500 0.7500 0.5000
Co2 Co 0.7500 0.2500 0.5000
```


# Na6SnBi2
Calculated PXRD pattern, Cu Kα, 1.54184 Å. Input: the GGA-PBE geometry in Alexandria.

Largest 8 diffraction maxima, sorted by position, 10 to 90 degrees two-theta:
two_theta	I/Imax
19.3	100.0
32.5	99.8
33.8	56.9
43.0	19.4
47.6	23.4
57.2	12.2
59.6	24.1
64.6	17.5

Structure:
```
data_Na6SnBi2
_chemical_formula_sum 'Na6 Sn1 Bi2'
_cell_length_a 9.1897
_cell_length_b 9.1897
_cell_length_c 3.4366
_cell_angle_alpha 90.02
_cell_angle_beta 90.02
_cell_angle_gamma 60.19
_symmetry_space_group_name_H-M 'P 1'
_symmetry_Int_Tables_number 1
loop_
_symmetry_equiv_pos_as_xyz
'x,y,z'
loop_
_atom_site_label
_atom_site_type_symbol
_atom_site_fract_x
_atom_site_fract_y
_atom_site_fract_z
Na1 Na 0.1652 0.4997 0.0016
Na2 Na 0.1647 0.8353 0.0000
Na3 Na 0.4997 0.1652 0.0016
Na4 Na 0.5003 0.8348 0.9984
Na5 Na 0.8353 0.1647 0.0000
Na6 Na 0.8348 0.5003 0.9984
Sn1 Sn 0.5000 0.5000 0.5000
Bi1 Bi 0.1667 0.1667 0.5001
Bi2 Bi 0.8333 0.8333 0.4999
```


# Sr3Zn2Pt7
Calculated PXRD pattern, Cu Kα, 1.54184 Å. Input: the GGA-PBE geometry in Alexandria.

Largest 8 diffraction maxima, sorted by position, 10 to 90 degrees two-theta:
two_theta	I/Imax
18.6	58.2
20.6	36.3
37.2	60.0
37.7	41.3
38.3	100.0
41.0	66.0
44.6	47.4
66.6	37.4

Structure:
```
data_Sr3Zn2Pt7
_chemical_formula_sum 'Sr3 Zn2 Pt7'
_cell_length_a 9.1963
_cell_length_b 9.1963
_cell_length_c 9.1963
_cell_angle_alpha 35.54
_cell_angle_beta 35.54
_cell_angle_gamma 35.54
_symmetry_space_group_name_H-M 'P 1'
_symmetry_Int_Tables_number 1
loop_
_symmetry_equiv_pos_as_xyz
'x,y,z'
loop_
_atom_site_label
_atom_site_type_symbol
_atom_site_fract_x
_atom_site_fract_y
_atom_site_fract_z
Sr1 Sr 0.0000 0.0000 0.0000
Sr2 Sr 0.1407 0.1407 0.1407
Sr3 Sr 0.8593 0.8593 0.8593
Zn1 Zn 0.3336 0.3336 0.3336
Zn2 Zn 0.6664 0.6664 0.6664
Pt1 Pt 0.0777 0.5800 0.5800
Pt2 Pt 0.4200 0.4200 0.9223
Pt3 Pt 0.4200 0.9223 0.4200
Pt4 Pt 0.5000 0.5000 0.5000
Pt5 Pt 0.5800 0.0777 0.5800
Pt6 Pt 0.5800 0.5800 0.0777
Pt7 Pt 0.9223 0.4200 0.4200
```


Number 12 is which compound?
Sr3Zn2Pt7